This entry pairs a crystal structure of Mg6CoO8 with its calculated XRD peak list. Radiation: Cu Kα (λ = 1.5418 Å). Structure: a DFT-relaxed cell (GGA+U, Alexandria).
Peak positions follow from Bragg's law for the DFT cell and can differ from measured ones.

Largest 10 diffraction maxima, in order of rising 2θ, 2θ from 10° to 90°:
(hkl), two_theta, I (rel.)
1 1 1, 18.24, 67
3 1 1, 35.33, 21
2 2 2, 36.96, 14
4 0 0, 42.94, 100
5 1 1, 56.78, 12
4 4 0, 62.35, 54
5 3 1, 65.55, 9
6 2 2, 74.74, 10
4 4 4, 78.68, 16
5 5 1, 81.61, 5

Cell and atoms:
a = 8.4251 Å, b = 8.4251 Å, c = 8.4251 Å
α = 90.00°, β = 90.00°, γ = 90.00°
Space group Fm-3m (No. 225)
Symmetry-distinct sites (fractional):
1 Mg 0.0000 0.2500 0.2500 x24
2 Co 0.0000 0.0000 0.0000 x4
3 O 0.0000 0.0000 0.2277 x24
4 O 0.2500 0.2500 0.2500 x8